# 1
For MnNi3Ge, a structure optimized by DFT (PBE) gives the simulated X-ray powder pattern in this record (Cu Kα (weighted mean of Kα1 and Kα2)).

Structural model:
a b c (Å): 6.357 6.357 4.527
angles (deg): 90.00 90.00 134.87
Sites, in units of the cell vectors:
Mn1 0.069 0.931 0.750
Mn2 0.931 0.069 0.250
Ni1 0.096 0.402 0.750
Ni2 0.402 0.096 0.250
Ni3 0.500 0.500 0.000
Ni4 0.500 0.500 0.500
Ni5 0.598 0.904 0.750
Ni6 0.904 0.598 0.250
Ge1 0.322 0.678 0.250
Ge2 0.678 0.322 0.750

The 6 most intense peaks (2θ = 5–70°), most intense first:
2θ 44.94, rel. 100.0
2θ 42.77, rel. 44.6
2θ 50.17, rel. 33.4
2θ 39.83, rel. 27.5
2θ 50.95, rel. 24.5
2θ 35.46, rel. 19.3

# 2
For Na2Zr2NpSe6, a structure optimized by DFT (PBE) gives the simulated X-ray powder pattern in this record (Cu Kα (weighted mean of Kα1 and Kα2)).

Structural model:
a b c (Å): 6.841 6.841 7.520
angles (deg): 98.56 98.56 120.34
Sites, in units of the cell vectors:
Na1 0.163 0.837 0.000
Na2 0.837 0.163 0.000
Zr1 0.333 0.667 0.500
Zr2 0.667 0.333 0.500
Np1 0.000 0.000 0.500
Se1 0.074 0.420 0.724
Se2 0.275 0.275 0.276
Se3 0.420 0.074 0.724
Se4 0.580 0.926 0.276
Se5 0.725 0.725 0.724
Se6 0.926 0.580 0.276

The 6 most intense peaks (2θ = 5–70°), most intense first:
2θ 30.96, rel. 100.0
2θ 12.34, rel. 99.8
2θ 42.79, rel. 57.1
2θ 31.13, rel. 49.6
2θ 46.12, rel. 33.0
2θ 26.38, rel. 19.7

# 3
For Pm5Mg4Ag, a structure optimized by DFT (PBE) gives the simulated X-ray powder pattern in this record (Cu Kα (weighted mean of Kα1 and Kα2)).

Structural model:
a b c (Å): 3.842 3.842 19.082
angles (deg): 90.00 90.00 90.00
Sites, in units of the cell vectors:
Pm1 0.000 0.000 0.000
Pm2 0.000 0.000 0.204
Pm3 0.000 0.000 0.405
Pm4 0.000 0.000 0.595
Pm5 0.000 0.000 0.796
Mg1 0.500 0.500 0.102
Mg2 0.500 0.500 0.303
Mg3 0.500 0.500 0.697
Mg4 0.500 0.500 0.898
Ag1 0.500 0.500 0.500

The 6 most intense peaks (2θ = 5–70°), most intense first:
2θ 33.08, rel. 100.0
2θ 32.97, rel. 51.2
2θ 58.95, rel. 37.6
2θ 23.15, rel. 37.0
2θ 47.32, rel. 18.6
2θ 59.17, rel. 17.8

# 4
For Ba8Tl2Ir, a structure optimized by DFT (PBE) gives the simulated X-ray powder pattern in this record (Cu Kα (weighted mean of Kα1 and Kα2)).

Structural model:
a b c (Å): 10.920 10.920 8.017
angles (deg): 106.64 106.64 32.28
Sites, in units of the cell vectors:
Ba1 0.025 0.025 0.302
Ba2 0.214 0.214 0.793
Ba3 0.354 0.354 0.552
Ba4 0.410 0.410 0.101
Ba5 0.590 0.590 0.899
Ba6 0.646 0.646 0.448
Ba7 0.786 0.786 0.207
Ba8 0.975 0.975 0.698
Tl1 0.182 0.182 0.211
Tl2 0.818 0.818 0.789
Ir1 0.500 0.500 0.500

The 6 most intense peaks (2θ = 5–70°), most intense first:
2θ 29.42, rel. 100.0
2θ 29.03, rel. 86.7
2θ 26.67, rel. 84.6
2θ 30.83, rel. 78.6
2θ 33.43, rel. 45.4
2θ 24.92, rel. 34.4

# 5
For Ce3ZnPt6, a structure optimized by DFT (PBE) gives the simulated X-ray powder pattern in this record (Cu Kα (weighted mean of Kα1 and Kα2)).

Structural model:
a b c (Å): 6.888 6.888 6.888
angles (deg): 112.99 112.99 112.99
Sites, in units of the cell vectors:
Ce1 0.214 0.214 0.573
Ce2 0.214 0.573 0.214
Ce3 0.573 0.214 0.214
Zn1 0.605 0.605 0.605
Pt1 0.032 0.032 0.784
Pt2 0.032 0.784 0.032
Pt3 0.172 0.652 0.652
Pt4 0.652 0.172 0.652
Pt5 0.652 0.652 0.172
Pt6 0.784 0.032 0.032

The 6 most intense peaks (2θ = 5–70°), most intense first:
2θ 36.32, rel. 100.0
2θ 36.94, rel. 54.4
2θ 39.67, rel. 47.2
2θ 33.35, rel. 41.7
2θ 26.89, rel. 41.3
2θ 31.14, rel. 28.4

# 6
For AsPtRh2, a structure optimized by DFT (PBE) gives the simulated X-ray powder pattern in this record (Cu Kα (weighted mean of Kα1 and Kα2)).

Structural model:
a b c (Å): 4.576 2.952 4.734
angles (deg): 90.00 109.09 90.00
Sites, in units of the cell vectors:
As1 0.000 0.000 0.000
Pt1 0.000 0.500 0.500
Rh1 0.500 0.000 0.500
Rh2 0.500 0.500 0.000

The 6 most intense peaks (2θ = 5–70°), most intense first:
2θ 38.66, rel. 100.0
2θ 45.53, rel. 62.7
2θ 40.32, rel. 44.4
2θ 41.78, rel. 40.2
2θ 48.02, rel. 26.8
2θ 67.29, rel. 19.4

# 7
For Dy3ErRu8, a structure optimized by DFT (PBE) gives the simulated X-ray powder pattern in this record (Cu Kα (weighted mean of Kα1 and Kα2)).

Structural model:
a b c (Å): 5.318 5.318 9.269
angles (deg): 106.79 106.79 60.03
Sites, in units of the cell vectors:
Dy1 0.000 0.000 0.000
Dy2 0.375 0.375 0.125
Dy3 0.500 0.500 0.500
Er1 0.875 0.875 0.626
Ru1 0.188 0.188 0.563
Ru2 0.438 0.438 0.812
Ru3 0.438 0.937 0.812
Ru4 0.438 0.938 0.314
Ru5 0.688 0.688 0.063
Ru6 0.937 0.438 0.812
Ru7 0.938 0.438 0.314
Ru8 0.938 0.938 0.314

The 6 most intense peaks (2θ = 5–70°), most intense first:
2θ 39.70, rel. 100.0
2θ 39.55, rel. 33.8
2θ 33.56, rel. 29.1
2θ 33.70, rel. 28.8
2θ 41.56, rel. 26.3
2θ 64.29, rel. 18.6

# 8
For NbRe3I, a structure optimized by DFT (PBE) gives the simulated X-ray powder pattern in this record (Cu Kα (weighted mean of Kα1 and Kα2)).

Structural model:
a b c (Å): 4.867 4.867 4.867
angles (deg): 90.00 90.00 90.00
Sites, in units of the cell vectors:
Nb1 0.000 0.000 0.000
Re1 0.000 0.000 0.500
Re2 0.000 0.500 0.000
Re3 0.500 0.000 0.000
I1 0.500 0.500 0.500

The 6 most intense peaks (2θ = 5–70°), most intense first:
2θ 31.85, rel. 100.0
2θ 36.94, rel. 89.4
2θ 53.23, rel. 62.8
2θ 63.38, rel. 42.7
2θ 66.56, rel. 21.4
2θ 18.23, rel. 20.7

What did the second record say?
For Na2Zr2NpSe6, a structure optimized by DFT (PBE) gives the simulated X-ray powder pattern in this record (Cu Kα (weighted mean of Kα1 and Kα2)).

Structural model:
a b c (Å): 6.841 6.841 7.520
angles (deg): 98.56 98.56 120.34
Sites, in units of the cell vectors:
Na1 0.163 0.837 0.000
Na2 0.837 0.163 0.000
Zr1 0.333 0.667 0.500
Zr2 0.667 0.333 0.500
Np1 0.000 0.000 0.500
Se1 0.074 0.420 0.724
Se2 0.275 0.275 0.276
Se3 0.420 0.074 0.724
Se4 0.580 0.926 0.276
Se5 0.725 0.725 0.724
Se6 0.926 0.580 0.276

The 6 most intense peaks (2θ = 5–70°), most intense first:
2θ 30.96, rel. 100.0
2θ 12.34, rel. 99.8
2θ 42.79, rel. 57.1
2θ 31.13, rel. 49.6
2θ 46.12, rel. 33.0
2θ 26.38, rel. 19.7